1.
Pr3PaN5: computed powder diffractogram (copper Kα), based on a GGA-PBE-relaxed structure.
Kinematic intensities with the Lorentz-polarization factor, no thermal factor.

```
data_Pr3PaN5
_chemical_formula_sum 'Pr12 Pa4 N20'
_space_group_name_H-M_alt 'I 4/m c m'
_space_group_IT_number 140
_space_group_name_Hall '-I 4 2c'
_cell_length_a 6.953
_cell_length_b 6.953
_cell_length_c 12.586
_cell_angle_alpha 90.00
_cell_angle_beta 90.00
_cell_angle_gamma 90.00
loop_
_atom_site_label
_atom_site_type_symbol
_atom_site_fract_x
_atom_site_fract_y
_atom_site_fract_z
Pr1 Pr 0.000 0.000 0.250
Pr2 Pr 0.177 0.323 0.000
Pa1 Pa 0.000 0.500 0.250
N1 N 0.000 0.000 0.000
N2 N 0.171 0.329 0.354
```

Most intense lines, 2θ from 10° to 80°, low angle first:
Position (°2θ)  I_rel
28.4  385
29.3  1000
29.6  227
35.9  248
36.6  265
46.9  233
50.8  247
54.8  119
59.4  126
67.2  124

2.
Ba2HoTl2O6: computed powder diffractogram (copper Kα), based on a GGA-PBE-relaxed structure.
Kinematic intensities with the Lorentz-polarization factor, no thermal factor.

```
data_Ba2HoTl2O6
_chemical_formula_sum 'Ba6 Ho3 Tl6 O18'
_space_group_name_H-M_alt 'R -3 m'
_space_group_IT_number 166
_space_group_name_Hall '-R 3 2"'
_cell_length_a 6.5088
_cell_length_b 6.5088
_cell_length_c 18.1848
_cell_angle_alpha 90.00
_cell_angle_beta 90.00
_cell_angle_gamma 120.00
loop_
_atom_site_label
_atom_site_type_symbol
_atom_site_fract_x
_atom_site_fract_y
_atom_site_fract_z
Ba1 Ba 0.0000 0.0000 0.1996
Ho1 Ho 0.0000 0.0000 0.0000
Tl1 Tl 0.0000 0.0000 0.3990
O1 O 0.0407 0.5204 0.7532
```

Most intense lines, 2θ from 10° to 80°, low angle first:
Position (°2θ)  I_rel
27.4  1000
29.2  869
40.5  390
48.4  211
49.6  454
52.9  190
56.6  169
64.9  186
67.7  176
77.6  112